Record 1
The following is a calculated PXRD pattern of YAlO3. It was derived from a cell relaxed with GGA-PBE, using Cu Kα, 1.54184 Å.

Cell and atoms:
a b c (Å): 6.738 6.738 10.118
angles (deg): 90.00 90.00 59.83
Fractional coordinates of all 30 atoms:
Y 0.000 0.000 0.000
Y 0.000 0.000 0.500
Y 0.330 0.330 0.000
Y 0.330 0.330 0.500
Y 0.670 0.670 0.000
Y 0.670 0.670 0.500
Al 0.066 0.666 0.250
Al 0.334 0.934 0.250
Al 0.393 0.607 0.750
Al 0.607 0.393 0.250
Al 0.666 0.066 0.750
Al 0.934 0.334 0.750
O 0.022 0.334 0.588
O 0.022 0.334 0.912
O 0.074 0.926 0.250
O 0.312 0.688 0.584
O 0.312 0.688 0.916
O 0.334 0.022 0.088
O 0.334 0.022 0.412
O 0.336 0.407 0.250
O 0.407 0.336 0.750
O 0.593 0.664 0.250
O 0.664 0.593 0.750
O 0.666 0.978 0.588
O 0.666 0.978 0.912
O 0.688 0.312 0.084
O 0.688 0.312 0.416
O 0.926 0.074 0.750
O 0.978 0.666 0.088
O 0.978 0.666 0.412

Principal peaks in the range 2θ = 10–80°, most intense first:
2θ 31.93, I 100.0
2θ 26.48, I 69.7
2θ 44.82, I 56.9
2θ 17.53, I 46.4
2θ 46.78, I 33.7
2θ 35.49, I 27.4



Record 2
The following is a calculated PXRD pattern of NbSnS2. It was derived from a cell relaxed with GGA-PBE, using Cu Kα, 1.54184 Å.

Cell and atoms:
a b c (Å): 3.357 3.357 17.583
angles (deg): 90.00 90.00 120.00
Fractional coordinates of all 8 atoms:
Nb 0.333 0.667 0.250
Nb 0.667 0.333 0.750
Sn 0.000 0.000 0.000
Sn 0.000 0.000 0.500
S 0.000 0.000 0.161
S 0.000 0.000 0.339
S 0.000 0.000 0.661
S 0.000 0.000 0.839

Principal peaks in the range 2θ = 10–80°, most intense first:
2θ 43.86, I 100.0
2θ 32.43, I 84.2
2θ 20.20, I 70.0
2θ 30.75, I 48.9
2θ 54.68, I 37.8
2θ 31.18, I 32.9



Record 3
The following is a calculated PXRD pattern of Nd3CrS6. It was derived from a cell relaxed with GGA-PBE, using Cu Kα, 1.54184 Å.

Cell and atoms:
a b c (Å): 13.634 16.309 3.904
angles (deg): 90.00 90.00 90.00
Fractional coordinates of all 40 atoms:
Nd 0.050 0.218 0.000
Nd 0.181 0.648 0.000
Nd 0.244 0.904 0.500
Nd 0.256 0.404 0.000
Nd 0.319 0.148 0.500
Nd 0.450 0.718 0.500
Nd 0.550 0.282 0.500
Nd 0.681 0.852 0.500
Nd 0.744 0.596 0.000
Nd 0.756 0.096 0.500
Nd 0.819 0.352 0.000
Nd 0.950 0.782 0.000
Cr 0.000 0.000 0.500
Cr 0.000 0.500 0.500
Cr 0.500 0.000 0.000
Cr 0.500 0.500 0.000
S 0.024 0.405 0.000
S 0.080 0.929 0.000
S 0.103 0.755 0.500
S 0.121 0.103 0.500
S 0.176 0.520 0.500
S 0.186 0.289 0.500
S 0.314 0.789 0.000
S 0.324 0.020 0.000
S 0.379 0.603 0.000
S 0.397 0.255 0.000
S 0.420 0.429 0.500
S 0.476 0.905 0.500
S 0.524 0.095 0.500
S 0.580 0.571 0.500
S 0.603 0.745 0.000
S 0.621 0.397 0.000
S 0.676 0.980 0.000
S 0.686 0.211 0.000
S 0.814 0.711 0.500
S 0.824 0.480 0.500
S 0.879 0.897 0.500
S 0.897 0.245 0.500
S 0.920 0.071 0.000
S 0.976 0.595 0.000

Principal peaks in the range 2θ = 10–80°, most intense first:
2θ 34.47, I 100.0
2θ 25.48, I 76.9
2θ 35.88, I 45.5
2θ 40.74, I 45.2
2θ 26.14, I 44.0
2θ 46.53, I 36.4



Record 4
The following is a calculated PXRD pattern of MgSi2. It was derived from a cell relaxed with GGA-PBE, using Cu Kα, 1.54184 Å.

Cell and atoms:
a b c (Å): 6.292 3.783 10.365
angles (deg): 90.00 106.17 90.00
Fractional coordinates of all 12 atoms:
Mg 0.157 0.000 0.247
Mg 0.316 0.005 0.761
Mg 0.684 0.505 0.239
Mg 0.843 0.500 0.753
Si 0.055 0.002 0.948
Si 0.089 0.513 0.565
Si 0.438 0.979 0.050
Si 0.463 0.639 0.560
Si 0.537 0.139 0.440
Si 0.562 0.479 0.950
Si 0.911 0.013 0.435
Si 0.945 0.502 0.052

Principal peaks in the range 2θ = 10–80°, most intense first:
2θ 49.84, I 100.0
2θ 42.57, I 93.5
2θ 35.97, I 93.1
2θ 35.47, I 73.8
2θ 29.62, I 64.7
2θ 30.02, I 61.9



Record 5
The following is a calculated PXRD pattern of K2TaCuF6. It was derived from a cell relaxed with GGA-PBE, using Cu Kα, 1.54184 Å.

Cell and atoms:
a b c (Å): 5.817 5.991 6.350
angles (deg): 101.37 112.22 109.27
Fractional coordinates of all 10 atoms:
K 0.012 0.237 0.275
K 0.988 0.763 0.725
Ta 0.500 0.500 0.000
Cu 0.500 0.000 0.500
F 0.104 0.261 0.896
F 0.364 0.163 0.673
F 0.382 0.617 0.715
F 0.618 0.383 0.285
F 0.636 0.837 0.327
F 0.896 0.739 0.104

Principal peaks in the range 2θ = 10–80°, most intense first:
2θ 18.62, I 100.0
2θ 26.48, I 63.7
2θ 26.12, I 63.2
2θ 27.54, I 55.7
2θ 18.41, I 54.3
2θ 30.63, I 40.2